[1]
For YSc2O4, the PBE geometry in Alexandria gives the calculated powder diffractogram in this record (Cu Kα X-rays).
No peak broadening, texture or thermal motion is included.

```
14
Lattice="1.5734 -5.2047 0.0000 1.5734 5.2047 0.0000 0.0000 0.0000 10.3787" Properties=species:S:1:pos:R:3 pbc="T T T"
Y 1.5734 3.9436 7.7841
Y 1.5734 -3.9436 2.5947
Sc 1.5734 1.3376 5.9061
Sc 1.5734 1.3376 9.6620
Sc 1.5734 -1.3376 0.7168
Sc 1.5734 -1.3376 4.4726
O 0.0000 0.0000 0.0000
O 0.0000 0.0000 5.1894
O 1.5734 2.3589 1.1886
O 1.5734 2.3589 4.0007
O 1.5734 0.4039 7.7841
O 1.5734 -0.4039 2.5947
O 1.5734 -2.3589 6.3780
O 1.5734 -2.3589 9.1901
```

The 6 most intense peaks (10° ≤ 2θ ≤ 90°), in order of rising 2θ:
30.91 deg, rel. 40.0
31.04 deg, rel. 100.0
34.44 deg, rel. 53.8
39.63 deg, rel. 62.9
42.52 deg, rel. 54.8
59.63 deg, rel. 39.1

***

[2]
For YSc2O4, the PBE geometry in Alexandria gives the calculated powder diffractogram in this record (Cu Kα X-rays).
No peak broadening, texture or thermal motion is included.

```
14
Lattice="0.0000 4.5783 4.5783 4.5783 0.0000 4.5783 4.5783 4.5783 0.0000" Properties=species:S:1:pos:R:3 pbc="T T T"
Y 1.1446 1.1446 1.1446
Y 8.0121 8.0121 8.0121
Sc 4.5783 2.2892 2.2892
Sc 2.2892 4.5783 2.2892
Sc 2.2892 2.2892 4.5783
Sc 4.5783 4.5783 4.5783
O 2.4003 2.4003 2.4003
O 4.4672 4.4672 2.4003
O 4.4672 2.4003 4.4672
O 6.7563 4.6895 4.6895
O 2.4003 4.4672 4.4672
O 4.6895 6.7563 4.6895
O 4.6895 4.6895 6.7563
O 6.7563 6.7563 6.7563
```

The 6 most intense peaks (10° ≤ 2θ ≤ 90°), in order of rising 2θ:
27.55 deg, rel. 58.2
32.43 deg, rel. 100.0
48.72 deg, rel. 21.8
51.89 deg, rel. 39.4
56.88 deg, rel. 43.5
80.59 deg, rel. 17.8

***

[3]
For YScO3, the PBE geometry in Alexandria gives the calculated powder diffractogram in this record (Cu Kα X-rays).
No peak broadening, texture or thermal motion is included.

```
30
Lattice="6.2157 0.0000 0.0000 -3.1079 5.3830 0.0000 0.0000 0.0000 12.2939" Properties=species:S:1:pos:R:3 pbc="T T T"
Y 0.0000 0.0000 0.0000
Y 0.0000 0.0000 6.1469
Y 0.0000 3.5887 5.6690
Y 0.0000 3.5887 11.8159
Y 3.1079 1.7943 5.6690
Y 3.1079 1.7943 11.8159
Sc -1.0370 1.7962 2.7896
Sc -2.0708 3.5868 8.9365
Sc 2.0740 0.0000 2.7896
Sc 1.0370 1.7962 8.9365
Sc 4.1417 0.0000 8.9365
Sc 2.0708 3.5868 2.7896
O 0.0000 0.0000 2.4810
O 0.0000 0.0000 8.6280
O -0.9584 1.6600 4.8482
O -1.1143 1.9301 0.7465
O -1.9935 3.4529 6.8934
O -2.1495 3.7230 10.9951
O 1.9168 0.0000 4.8482
O 0.9584 1.6600 10.9951
O 0.0000 3.5887 3.0268
O 0.0000 3.5887 9.1737
O 2.2287 0.0000 0.7465
O 1.1143 1.9301 6.8934
O 3.9871 0.0000 6.8934
O 1.9935 3.4529 0.7465
O 3.1079 1.7943 3.0268
O 3.1079 1.7943 9.1737
O 4.2990 0.0000 10.9951
O 2.1495 3.7230 4.8482
```

The 6 most intense peaks (10° ≤ 2θ ≤ 90°), in order of rising 2θ:
28.72 deg, rel. 43.3
29.05 deg, rel. 46.0
29.65 deg, rel. 49.1
32.28 deg, rel. 100.0
41.31 deg, rel. 43.6
50.89 deg, rel. 55.7

***

[4]
For YSc3O6, the PBE geometry in Alexandria gives the calculated powder diffractogram in this record (Cu Kα X-rays).
No peak broadening, texture or thermal motion is included.

```
20
Lattice="8.7313 0.0000 0.0000 0.0000 3.2102 0.0000 -2.7497 0.0000 8.4224" Properties=species:S:1:pos:R:3 pbc="T T T"
Y -0.0413 0.8025 1.6396
Y 6.0229 2.4076 6.7828
Sc -0.1625 0.8025 4.9795
Sc 0.0955 2.4076 8.3489
Sc 3.0349 0.8025 2.7872
Sc 2.9468 2.4076 5.6352
Sc 5.8861 0.8025 0.0735
Sc 6.1442 2.4076 3.4429
O -0.4609 2.4076 3.4332
O -1.6010 0.8025 8.0496
O -0.2474 2.4076 6.2577
O 1.7953 2.4076 1.9365
O 1.9361 0.8025 4.7088
O 3.7749 0.8025 0.8572
O 2.2067 2.4076 7.5653
O 4.0456 2.4076 3.7136
O 4.1863 0.8025 6.4859
O 6.2290 0.8025 2.1647
O 7.5826 2.4076 0.3728
O 6.4425 0.8025 4.9892
```

The 6 most intense peaks (10° ≤ 2θ ≤ 90°), in order of rising 2θ:
10.66 deg, rel. 56.3
30.28 deg, rel. 86.3
30.73 deg, rel. 100.0
34.75 deg, rel. 67.8
38.94 deg, rel. 92.0
43.17 deg, rel. 57.4